PmTiCuSn: simulated powder diffractogram (λ = 1.5418 Å (Cu Kα)), based on a cell relaxed with GGA-PBE.

Main lines, low angle first (10 to 90 degrees two-theta):
| d [Å] | Position (°2θ) | I_rel | (hkl) |
| --- | --- | --- | --- |
| 4.066 | 21.86 | 20 | 1 1 1 |
| 2.490 | 36.08 | 100 | 2 2 0 |
| 2.123 | 42.58 | 11 | 3 1 1 |
| 1.761 | 51.94 | 17 | 4 0 0 |
| 1.616 | 57.00 | 5 | 3 3 1 |
| 1.437 | 64.87 | 35 | 4 2 2 |
| 1.355 | 69.34 | 4 | 5 1 1 |
| 1.245 | 76.53 | 11 | 4 4 0 |
| 1.190 | 80.73 | 4 | 5 3 1 |
| 1.113 | 87.64 | 16 | 6 2 0 |

Crystal structure
a b c (Å): 7.042 7.042 7.042
angles (deg): 90.00 90.00 90.00
Space group F-43m (No. 216)
Symmetry-distinct sites (fractional):
Pm 0.000 0.000 0.000 (multiplicity 4)
Ti 0.000 0.000 0.500 (multiplicity 4)
Cu 0.250 0.250 0.250 (multiplicity 4)
Sn 0.250 0.250 0.750 (multiplicity 4)

***

PmYCuSn: simulated powder diffractogram (λ = 1.5418 Å (Cu Kα)), based on a cell relaxed with GGA-PBE.

Main lines, low angle first (10 to 90 degrees two-theta):
| d [Å] | Position (°2θ) | I_rel | (hkl) |
| --- | --- | --- | --- |
| 4.262 | 20.84 | 7 | 1 1 1 |
| 3.691 | 24.11 | 2 | 2 0 0 |
| 2.610 | 34.36 | 100 | 2 2 0 |
| 2.226 | 40.53 | 4 | 3 1 1 |
| 1.846 | 49.38 | 18 | 4 0 0 |
| 1.694 | 54.15 | 2 | 3 3 1 |
| 1.507 | 61.53 | 37 | 4 2 2 |
| 1.305 | 72.41 | 11 | 4 4 0 |
| 1.248 | 76.31 | 2 | 5 3 1 |
| 1.167 | 82.66 | 16 | 6 2 0 |

Crystal structure
a b c (Å): 7.383 7.383 7.383
angles (deg): 90.00 90.00 90.00
Space group F-43m (No. 216)
Symmetry-distinct sites (fractional):
Pm 0.000 0.000 0.000 (multiplicity 4)
Y 0.000 0.000 0.500 (multiplicity 4)
Cu 0.250 0.250 0.750 (multiplicity 4)
Sn 0.250 0.250 0.250 (multiplicity 4)

***

Pm2ZnCu4Sn3: simulated powder diffractogram (λ = 1.5418 Å (Cu Kα)), based on a cell relaxed with GGA-PBE.

Main lines, low angle first (10 to 90 degrees two-theta):
| d [Å] | Position (°2θ) | I_rel | (hkl) |
| --- | --- | --- | --- |
| 3.065 | 29.13 | 19 | 1 1 0 |
| 2.764 | 32.39 | 67 | 1 0 3 |
| 2.663 | 33.65 | 100 | 1 1 2 |
| 2.167 | 41.67 | 63 | 2 0 0 |
| 2.022 | 44.82 | 17 | 1 1 4 |
| 1.928 | 47.14 | 34 | 1 0 5 |
| 1.706 | 53.75 | 32 | 2 1 3 |
| 1.533 | 60.40 | 21 | 2 2 0 |
| 1.441 | 64.71 | 27 | 2 1 5 |
| 1.328 | 70.95 | 22 | 3 1 2 |

Crystal structure
a b c (Å): 4.335 4.335 10.763
angles (deg): 90.00 90.00 90.00
Space group P-4m2 (No. 115)
Symmetry-distinct sites (fractional):
Pm 0.000 0.500 0.248 (multiplicity 2)
Zn 0.000 0.000 0.500 (multiplicity 1)
Cu 0.000 0.000 0.000 (multiplicity 1)
Cu 0.000 0.500 0.630 (multiplicity 2)
Cu 0.500 0.500 0.000 (multiplicity 1)
Sn 0.000 0.500 0.865 (multiplicity 2)
Sn 0.500 0.500 0.500 (multiplicity 1)

***

PmTaCu: simulated powder diffractogram (λ = 1.5418 Å (Cu Kα)), based on a cell relaxed with GGA-PBE.

Main lines, low angle first (10 to 90 degrees two-theta):
| d [Å] | Position (°2θ) | I_rel | (hkl) |
| --- | --- | --- | --- |
| 3.167 | 28.18 | 25 | 1 0 1 |
| 2.853 | 31.36 | 18 | 0 0 4 |
| 2.490 | 36.06 | 100 | 1 0 3 |
| 2.331 | 38.62 | 57 | 1 1 0 |
| 2.281 | 39.50 | 13 | 0 0 5 |
| 2.156 | 41.89 | 12 | 1 0 4 |
| 1.648 | 55.78 | 24 | 2 0 0 |
| 1.630 | 56.45 | 16 | 1 1 5 |
| 1.375 | 68.23 | 30 | 2 1 3 |
| 1.309 | 72.18 | 16 | 1 0 8 |

Crystal structure
a b c (Å): 3.297 3.297 11.402
angles (deg): 90.00 90.00 90.00
Space group P4/mmm (No. 123)
Symmetry-distinct sites (fractional):
Pm 0.000 0.000 0.177 (multiplicity 2)
Ta 0.500 0.500 0.376 (multiplicity 2)
Cu 0.000 0.000 0.500 (multiplicity 1)
Cu 0.500 0.500 0.000 (multiplicity 1)

***

PmCuTe2: simulated powder diffractogram (λ = 1.5418 Å (Cu Kα)), based on a cell relaxed with GGA-PBE.

Main lines, low angle first (10 to 90 degrees two-theta):
| d [Å] | Position (°2θ) | I_rel | (hkl) |
| --- | --- | --- | --- |
| 3.240 | 27.53 | 55 | 1 0 2 |
| 3.220 | 27.70 | 60 | 1 2 -1 |
| 3.068 | 29.10 | 100 | 2 1 -1 |
| 3.003 | 29.75 | 61 | 1 1 2 |
| 2.758 | 32.46 | 75 | 0 2 2 |
| 2.653 | 33.79 | 32 | 2 2 0 |
| 2.626 | 34.15 | 27 | 1 2 -2 |
| 2.497 | 35.96 | 37 | 1 3 0 |
| 2.490 | 36.07 | 26 | 2 0 2 |
| 2.419 | 37.17 | 38 | 0 1 3 |

Crystal structure
a b c (Å): 7.111 8.006 7.640
angles (deg): 90.00 94.87 90.00
Space group P2_1/c (No. 14)
Symmetry-distinct sites (fractional):
Pm 0.197 0.041 0.302 (multiplicity 4)
Cu 0.436 0.652 0.452 (multiplicity 4)
Te 0.079 0.718 0.496 (multiplicity 4)
Te 0.395 0.112 0.722 (multiplicity 4)

***

Pm5CuTe8: simulated powder diffractogram (λ = 1.5418 Å (Cu Kα)), based on a cell relaxed with GGA-PBE.

Main lines, low angle first (10 to 90 degrees two-theta):
| d [Å] | Position (°2θ) | I_rel | (hkl) |
| --- | --- | --- | --- |
| 3.056 | 29.22 | 84 | 1 0 3 |
| 2.959 | 30.21 | 73 | 3 0 1 |
| 2.947 | 30.33 | 100 | 3 1 0 |
| 2.556 | 35.11 | 73 | 2 1 3 |
| 2.519 | 35.64 | 41 | 1 3 2 |
| 2.498 | 35.95 | 42 | 2 3 1 |
| 2.019 | 44.88 | 25 | 2 3 3 |
| 1.915 | 47.48 | 22 | 2 4 2 |
| 1.853 | 49.17 | 22 | 1 4 3 |
| 1.527 | 60.64 | 22 | 2 0 6 |

Crystal structure
a b c (Å): 9.320 9.320 9.706
angles (deg): 90.00 90.00 90.00
Space group I-4 (No. 82)
Symmetry-distinct sites (fractional):
Pm 0.000 0.000 0.000 (multiplicity 2)
Pm 0.125 0.753 0.616 (multiplicity 8)
Cu 0.000 0.500 0.250 (multiplicity 2)
Te 0.064 0.801 0.292 (multiplicity 8)
Te 0.078 0.681 0.932 (multiplicity 8)

***

PmCuTe3: simulated powder diffractogram (λ = 1.5418 Å (Cu Kα)), based on a cell relaxed with GGA-PBE.

Main lines, low angle first (10 to 90 degrees two-theta):
| d [Å] | Position (°2θ) | I_rel | (hkl) |
| --- | --- | --- | --- |
| 3.973 | 22.38 | 35 | 2 1 -1 |
| 3.910 | 22.74 | 30 | 2 0 -2 |
| 3.146 | 28.37 | 32 | 3 0 -2 |
| 3.096 | 28.83 | 25 | 3 1 -1 |
| 3.047 | 29.31 | 100 | 2 0 2 |
| 2.826 | 31.66 | 41 | 1 2 1 |
| 2.748 | 32.58 | 24 | 2 1 2 |
| 2.442 | 36.81 | 38 | 1 2 2 |
| 2.276 | 39.60 | 24 | 2 0 -4 |
| 2.241 | 40.25 | 23 | 3 2 -2 |

Crystal structure
a b c (Å): 10.731 6.382 9.267
angles (deg): 90.00 104.34 90.00
Space group P2_1/c (No. 14)
Symmetry-distinct sites (fractional):
Pm 0.130 0.226 0.179 (multiplicity 4)
Cu 0.461 0.726 0.581 (multiplicity 4)
Te 0.076 0.727 0.132 (multiplicity 4)
Te 0.313 0.084 0.969 (multiplicity 4)
Te 0.416 0.565 0.825 (multiplicity 4)

***

Pm3Tl2Cu: simulated powder diffractogram (λ = 1.5418 Å (Cu Kα)), based on a cell relaxed with GGA-PBE.

Main lines, low angle first (10 to 90 degrees two-theta):
| d [Å] | Position (°2θ) | I_rel | (hkl) |
| --- | --- | --- | --- |
| 2.910 | 30.73 | 70 | 0 2 1 |
| 2.814 | 31.80 | 55 | 2 2 -1 |
| 2.800 | 31.97 | 98 | 4 0 -2 |
| 2.766 | 32.37 | 100 | 2 0 2 |
| 2.628 | 34.11 | 94 | 2 2 1 |
| 2.526 | 35.54 | 81 | 6 0 0 |
| 2.430 | 36.99 | 55 | 4 2 -1 |
| 2.011 | 45.07 | 32 | 6 2 -1 |
| 1.833 | 49.73 | 34 | 2 2 -3 |
| 1.519 | 60.99 | 48 | 4 2 3 |

Crystal structure
a b c (Å): 15.562 6.509 6.668
angles (deg): 90.00 103.13 90.00
Space group C2/c (No. 15)
Symmetry-distinct sites (fractional):
Pm 0.000 0.133 0.250 (multiplicity 4)
Pm 0.156 0.399 0.590 (multiplicity 8)
Tl 0.167 0.111 0.047 (multiplicity 8)
Cu 0.000 0.353 0.750 (multiplicity 4)

***

Pm11Tl9Cu4: simulated powder diffractogram (λ = 1.5418 Å (Cu Kα)), based on a cell relaxed with GGA-PBE.

Main lines, low angle first (10 to 90 degrees two-theta):
| d [Å] | Position (°2θ) | I_rel | (hkl) |
| --- | --- | --- | --- |
| 3.012 | 29.66 | 15 | 3 1 1 |
| 2.917 | 30.65 | 9 | 2 4 1 |
| 2.864 | 31.23 | 14 | 1 5 1 |
| 2.816 | 31.77 | 11 | 3 3 1 |
| 2.678 | 33.46 | 100 | 0 6 1 |
| 2.641 | 33.94 | 46 | 4 6 0 |
| 2.460 | 36.52 | 10 | 1 9 0 |
| 2.427 | 37.03 | 12 | 6 2 0 |
| 1.920 | 47.33 | 17 | 0 0 2 |
| 1.553 | 59.51 | 19 | 4 6 2 |

Crystal structure
a b c (Å): 14.917 22.451 3.841
angles (deg): 90.00 90.00 90.00
Space group Cmmm (No. 65)
Symmetry-distinct sites (fractional):
Pm 0.000 0.000 0.000 (multiplicity 2)
Pm 0.000 0.164 0.000 (multiplicity 4)
Pm 0.000 0.372 0.000 (multiplicity 4)
Pm 0.193 0.500 0.000 (multiplicity 4)
Pm 0.246 0.169 0.000 (multiplicity 8)
Tl 0.000 0.500 0.500 (multiplicity 2)
Tl 0.107 0.263 0.500 (multiplicity 8)
Tl 0.144 0.073 0.500 (multiplicity 8)
Cu 0.150 0.401 0.500 (multiplicity 8)

***

Pm5Tl2Cu2: simulated powder diffractogram (λ = 1.5418 Å (Cu Kα)), based on a cell relaxed with GGA-PBE.

Main lines, low angle first (10 to 90 degrees two-theta):
| d [Å] | Position (°2θ) | I_rel | (hkl) |
| --- | --- | --- | --- |
| 2.955 | 30.25 | 100 | 4 2 0 |
| 2.844 | 31.46 | 53 | 3 1 2 |
| 2.797 | 32.00 | 72 | 5 1 1 |
| 2.781 | 32.18 | 61 | 0 2 2 |
| 2.737 | 32.72 | 51 | 4 2 1 |
| 2.701 | 33.17 | 46 | 4 0 2 |
| 2.646 | 33.88 | 58 | 1 3 1 |
| 2.307 | 39.05 | 34 | 1 1 3 |
| 1.609 | 57.27 | 38 | 5 3 3 |
| 1.493 | 62.16 | 49 | 5 5 1 |

Crystal structure
a b c (Å): 16.175 8.658 7.260
angles (deg): 90.00 90.00 90.00
Space group Cmce (No. 64)
Symmetry-distinct sites (fractional):
Pm 0.000 0.000 0.000 (multiplicity 4)
Pm 0.125 0.184 0.346 (multiplicity 16)
Tl 0.214 0.000 0.000 (multiplicity 8)
Cu 0.000 0.112 0.624 (multiplicity 8)

***

Pm3Tl2Cu2: simulated powder diffractogram (λ = 1.5418 Å (Cu Kα)), based on a cell relaxed with GGA-PBE.

Main lines, low angle first (10 to 90 degrees two-theta):
| d [Å] | Position (°2θ) | I_rel | (hkl) |
| --- | --- | --- | --- |
| 3.085 | 28.94 | 52 | 1 5 0 |
| 2.786 | 32.13 | 100 | 1 1 1 |
| 2.605 | 34.43 | 78 | 0 6 1 |
| 2.544 | 35.28 | 43 | 1 7 0 |
| 2.161 | 41.81 | 27 | 2 0 0 |
| 1.848 | 49.33 | 17 | 0 0 2 |
| 1.663 | 55.24 | 41 | 2 6 1 |
| 1.631 | 56.43 | 19 | 1 11 1 |
| 1.585 | 58.20 | 15 | 1 5 2 |
| 1.495 | 62.09 | 17 | 1 7 2 |

Crystal structure
a b c (Å): 4.321 22.032 3.695
angles (deg): 90.00 90.00 90.00
Space group Cmmm (No. 65)
Symmetry-distinct sites (fractional):
Pm 0.000 0.000 0.000 (multiplicity 2)
Pm 0.000 0.172 0.000 (multiplicity 4)
Tl 0.000 0.415 0.500 (multiplicity 4)
Cu 0.000 0.280 0.500 (multiplicity 4)

***

Pm5TlCu2: simulated powder diffractogram (λ = 1.5418 Å (Cu Kα)), based on a cell relaxed with GGA-PBE.

Main lines, low angle first (10 to 90 degrees two-theta):
| d [Å] | Position (°2θ) | I_rel | (hkl) |
| --- | --- | --- | --- |
| 3.520 | 25.30 | 23 | 2 1 1 |
| 2.888 | 30.97 | 19 | 2 2 0 |
| 2.862 | 31.26 | 42 | 1 1 4 |
| 2.809 | 31.86 | 100 | 2 1 3 |
| 2.583 | 34.73 | 85 | 3 1 0 |
| 2.564 | 34.99 | 42 | 2 0 4 |
| 1.736 | 52.74 | 18 | 4 0 4 |
| 1.662 | 55.27 | 24 | 3 3 4 |
| 1.434 | 65.06 | 18 | 5 2 3 |
| 1.389 | 67.43 | 18 | 3 1 8 |

Crystal structure
a b c (Å): 8.168 8.168 13.178
angles (deg): 90.00 90.00 90.00
Space group I4/mcm (No. 140)
Symmetry-distinct sites (fractional):
Pm 0.000 0.000 0.000 (multiplicity 4)
Pm 0.154 0.346 0.142 (multiplicity 16)
Tl 0.000 0.000 0.250 (multiplicity 4)
Cu 0.129 0.371 0.500 (multiplicity 8)

***

Pm3Tl3Cu2: simulated powder diffractogram (λ = 1.5418 Å (Cu Kα)), based on a cell relaxed with GGA-PBE.

Main lines, low angle first (10 to 90 degrees two-theta):
| d [Å] | Position (°2θ) | I_rel | (hkl) |
| --- | --- | --- | --- |
| 3.150 | 28.33 | 23 | 1 1 0 |
| 3.134 | 28.48 | 27 | -1 1 1 |
| 2.886 | 30.99 | 33 | 0 0 3 |
| 2.670 | 33.57 | 100 | 1 -1 2 |
| 2.650 | 33.82 | 94 | 1 1 3 |
| 2.471 | 36.36 | 50 | 0 2 1 |
| 2.306 | 39.06 | 42 | 2 0 1 |
| 1.686 | 54.42 | 32 | 2 2 2 |
| 1.545 | 59.87 | 15 | 1 1 -4 |
| 1.465 | 63.50 | 16 | 1 -3 1 |

Crystal structure
a b c (Å): 4.612 4.942 9.264
angles (deg): 75.14 75.69 90.00
Space group P-1 (No. 2)
Symmetry-distinct sites (fractional):
Pm 0.000 0.000 0.000 (multiplicity 1)
Pm 0.153 0.644 0.695 (multiplicity 2)
Tl 0.351 0.853 0.297 (multiplicity 2)
Tl 0.500 0.500 0.000 (multiplicity 1)
Cu 0.243 0.226 0.515 (multiplicity 2)